[1]
This entry pairs a crystal structure of KNa3Al4Si4O16 with its computed X-ray powder pattern. Radiation: Cu Ka. Structure: DFT lattice parameters and positions (GGA-PBE).
Neutral-atom scattering factors, no anomalous dispersion.

Cell: 9.8374 9.8374 9.8291 Å, 90.00 90.00 120.00°
Space group P6_3 (No. 173)
Unique sites:
K1 0.0000 0.0000 0.0000 [2 per cell]
Na1 0.0196 0.4413 0.0015 [6 per cell]
Al1 0.0863 0.3293 0.6977 [6 per cell]
Al2 0.3333 0.6667 0.1786 [2 per cell]
Si1 0.1208 0.3163 0.2671 [6 per cell]
Si2 0.3333 0.6667 0.8364 [2 per cell]
O1 0.0297 0.2750 0.4258 [6 per cell]
O2 0.0356 0.8081 0.6792 [6 per cell]
O3 0.0988 0.4067 0.5263 [6 per cell]
O4 0.1633 0.4947 0.2275 [6 per cell]
O5 0.1749 0.5051 0.7898 [6 per cell]
O6 0.3333 0.6667 0.0017 [2 per cell]

Top 6 peaks for 10° ≤ 2θ ≤ 90°, sorted by position:
(hkl), 2θ (°), Rel. int.
2 0 1, 22.75, 349
2 0 2, 27.71, 1000
1 2 1, 29.19, 213
0 0 4, 36.55, 321
1 3 1, 39.21, 143
1 2 4, 46.48, 155

=====

[2]
This entry pairs a crystal structure of MgGa2O4 with its computed X-ray powder pattern. Radiation: Cu Ka. Structure: DFT lattice parameters and positions (GGA-PBE).
Neutral-atom scattering factors, no anomalous dispersion.

Cell: 5.9604 5.9604 14.5488 Å, 90.00 90.00 120.00°
Space group R3m (No. 160, hexagonal axes)
Unique sites:
Mg1 0.0000 0.0000 0.0000 [3 per cell]
Mg2 0.0000 0.0000 0.3768 [3 per cell]
Ga1 0.0000 0.0000 0.7588 [3 per cell]
Ga2 0.0088 0.5044 0.8802 [9 per cell]
O1 0.0000 0.0000 0.1368 [3 per cell]
O2 0.0000 0.0000 0.6236 [3 per cell]
O3 0.0178 0.5089 0.1337 [9 per cell]
O4 0.1789 0.3577 0.9548 [9 per cell]

Top 6 peaks for 10° ≤ 2θ ≤ 90°, sorted by position:
(hkl), 2θ (°), Rel. int.
0 0 3, 18.28, 321
1 0 4, 30.05, 250
0 2 1, 35.35, 1000
0 2 4, 42.97, 270
2 2 0, 62.31, 236
2 0 8, 62.47, 230

=====

[3]
This entry pairs a crystal structure of LiMnAs2 with its computed X-ray powder pattern. Radiation: Cu Ka. Structure: DFT lattice parameters and positions (GGA-PBE).
Neutral-atom scattering factors, no anomalous dispersion.

Cell: 2.763 2.763 10.034 Å, 90.00 90.00 90.00°
Space group P4/mmm (No. 123)
Unique sites:
Li1 0.000 0.000 0.000 [1 per cell]
Mn1 0.000 0.000 0.500 [1 per cell]
As1 0.000 0.000 0.256 [2 per cell]

Top 6 peaks for 10° ≤ 2θ ≤ 90°, sorted by position:
(hkl), 2θ (°), Rel. int.
0 0 2, 17.68, 404
1 0 0, 32.40, 1000
0 0 4, 35.79, 373
1 1 0, 46.48, 355
1 0 4, 49.05, 592
1 1 4, 60.02, 316

=====

[4]
This entry pairs a crystal structure of NaNi3 with its computed X-ray powder pattern. Radiation: Cu Ka. Structure: DFT lattice parameters and positions (GGA-PBE).
Neutral-atom scattering factors, no anomalous dispersion.

Cell: 3.734 3.734 7.313 Å, 90.00 90.00 90.00°
Space group I4/mmm (No. 139)
Unique sites:
Na1 0.000 0.000 0.000 [2 per cell]
Ni1 0.000 0.000 0.500 [2 per cell]
Ni2 0.000 0.500 0.250 [4 per cell]

Top 6 peaks for 10° ≤ 2θ ≤ 90°, sorted by position:
(hkl), 2θ (°), Rel. int.
1 0 1, 26.81, 120
1 1 2, 42.22, 1000
2 0 0, 48.77, 320
0 0 4, 49.88, 149
2 0 4, 72.34, 177
3 1 2, 86.63, 212

=====

[5]
This entry pairs a crystal structure of MoW3Se2S6 with its computed X-ray powder pattern. Radiation: Cu Ka. Structure: DFT lattice parameters and positions (GGA-PBE).
Neutral-atom scattering factors, no anomalous dispersion.

Cell: 3.2199 3.2199 36.4068 Å, 90.00 90.00 120.00°
Space group P3m1 (No. 156)
Unique sites:
Mo1 0.0000 0.0000 0.0000 [1 per cell]
W1 0.0000 0.0000 0.3758 [1 per cell]
W2 0.6667 0.3333 0.1879 [1 per cell]
W3 0.6667 0.3333 0.8121 [1 per cell]
Se1 0.6667 0.3333 0.0470 [1 per cell]
Se2 0.6667 0.3333 0.9530 [1 per cell]
S1 0.0000 0.0000 0.1449 [1 per cell]
S2 0.0000 0.0000 0.2308 [1 per cell]
S3 0.0000 0.0000 0.7692 [1 per cell]
S4 0.0000 0.0000 0.8551 [1 per cell]
S5 0.6667 0.3333 0.3328 [1 per cell]
S6 0.6667 0.3333 0.4187 [1 per cell]

Top 6 peaks for 10° ≤ 2θ ≤ 90°, sorted by position:
(hkl), 2θ (°), Rel. int.
0 0 5, 12.16, 1000
0 0 6, 14.60, 208
1 0 0, 32.13, 307
1 0 8, 37.84, 543
0 1 13, 45.93, 315
1 1 0, 57.23, 167